Starting from a cell relaxed with PBE, the X-ray powder pattern of Ca4DySe5 was simulated for λ = 1.5418 Å (Cu Kα).

Peak list (6 most intense, 10 to 90 degrees two-theta, in order of rising 2θ)
2θ 30.16, intensity 55
2θ 30.31, intensity 100
2θ 43.29, intensity 73
2θ 43.39, intensity 36
2θ 53.75, intensity 40
2θ 79.56, intensity 23

Structure:
```
Ca4DySe5
1.0
-2.0853 2.0853 14.8145
2.0853 -2.0853 14.8145
2.0853 2.0853 -14.8145
Ca Dy Se
4 1 5
Direct
0.0994 0.0994 0.0000 Ca
0.3004 0.3004 0.0000 Ca
0.6996 0.6996 0.0000 Ca
0.9006 0.9006 0.0000 Ca
0.5000 0.5000 0.0000 Dy
0.0000 0.0000 0.0000 Se
0.1996 0.1996 0.0000 Se
0.4020 0.4020 0.0000 Se
0.5980 0.5980 0.0000 Se
0.8004 0.8004 0.0000 Se
```